Diffraction record for Ca2AcTl3. The powder XRD pattern is calculated, not measured: it uses a structure optimized by DFT (GGA-PBE) and CuKα.
No peak broadening, texture or thermal motion is included.

Unit cell a=3.9138 b=3.9138 c=12.2529 alpha=90.00 beta=90.00 gamma=90.00
Space group P4/mmm (No. 123)
Asymmetric unit:
Ca (0.0000, 0.0000, 0.1563)
Ac (0.0000, 0.0000, 0.5000)
Tl (0.5000, 0.5000, 0.0000)
Tl (0.5000, 0.5000, 0.3153)

Principal peaks in the range 2θ = 10–80°, by intensity:
| 2theta | I (rel.) | hkl |
| --- | --- | --- |
| 31.66 | 100 | 1 0 3 |
| 32.35 | 50 | 1 1 0 |
| 57.27 | 38 | 2 1 3 |
| 46.40 | 19 | 2 0 0 |
| 55.96 | 17 | 1 1 6 |
| 77.05 | 13 | 3 1 0 |
| 27.03 | 13 | 1 0 2 |
| 22.72 | 12 | 1 0 0 |
| 23.87 | 12 | 1 0 1 |
| 66.13 | 10 | 2 0 6 |